# 1
Calculated powder XRD pattern of CeSe2 for Cu Kα, 1.54184 Å, from a cell relaxed with GGA-PBE.
Lines closer than 0.1° are merged.

Structure:
Lattice parameters (Å, degrees): 14.734 14.889 17.161 64.86 65.11 89.99
Space group P-1 (No. 2)
Asymmetric unit:
Ce 0.107 0.182 0.187 x2
Ce 0.132 0.609 0.687 x2
Ce 0.182 0.108 0.687 x2
Ce 0.205 0.631 0.187 x2
Ce 0.296 0.319 0.812 x2
Ce 0.319 0.296 0.312 x2
Ce 0.370 0.796 0.313 x2
Ce 0.392 0.869 0.813 x2
Se 0.004 0.528 0.303 x2
Se 0.013 0.988 0.250 x2
Se 0.029 0.694 0.803 x2
Se 0.168 0.194 0.803 x2
Se 0.194 0.169 0.303 x2
Se 0.237 0.763 0.250 x2
Se 0.242 0.750 0.000 x2
Se 0.250 0.258 0.501 x2
Se 0.250 0.758 0.500 x2
Se 0.258 0.250 0.001 x2
Se 0.263 0.512 0.750 x2
Se 0.306 0.972 0.697 x2
Se 0.331 0.497 0.197 x2
Se 0.471 0.996 0.198 x2
Se 0.487 0.738 0.750 x2
Se 0.496 0.330 0.698 x2

Largest 8 diffraction maxima, in order of rising 2θ, 2θ = 5–70°:
2θ/deg, Rel. int., h k l
12.87, 87, 0 0 2
13.46, 17, 0 2 0
13.59, 37, 0 2 2
13.72, 39, 2 0 2
16.93, 100, 2 2 2
20.84, 14, 2 1 -1
20.94, 14, -2 1 2
21.07, 21, 1 2 4

# 2
Calculated powder XRD pattern of YAs2O2 for Cu Kα, 1.54184 Å, from a cell relaxed with GGA-PBE.
Lines closer than 0.1° are merged.

Structure:
Lattice parameters (Å, degrees): 10.926 10.926 13.491 90.00 90.00 90.00
Space group I4_1/amd (No. 141, origin choice 2)
Asymmetric unit:
Y 0.000 0.000 0.000 x8
As 0.000 0.132 0.734 x16
O 0.000 0.050 0.847 x16

Largest 8 diffraction maxima, in order of rising 2θ, 2θ = 5–70°:
2θ/deg, Rel. int., h k l
10.42, 100, 1 0 1
16.23, 12, 2 0 0
21.37, 18, 1 0 3
26.43, 10, 0 0 4
30.23, 17, 3 2 1
34.49, 13, 4 1 1
35.46, 10, 4 0 2
39.22, 18, 4 2 2

# 3
Calculated powder XRD pattern of AgPO2F2 for Cu Kα, 1.54184 Å, from a cell relaxed with GGA-PBE.
Lines closer than 0.1° are merged.

Structure:
Lattice parameters (Å, degrees): 11.471 25.040 6.341 90.00 115.01 90.00
Space group C2/c (No. 15)
Asymmetric unit:
Ag 0.086 0.062 0.066 x8
Ag 0.164 0.189 0.879 x8
P 0.000 0.189 0.250 x4
P 0.000 0.314 0.750 x4
P 0.238 0.068 0.700 x8
O 0.014 0.159 0.056 x8
O 0.123 0.283 0.872 x8
O 0.130 0.038 0.510 x8
O 0.219 0.093 0.900 x8
F 0.015 0.355 0.576 x8
F 0.114 0.229 0.362 x8
F 0.140 0.469 0.206 x8
F 0.214 0.387 0.417 x8

Largest 8 diffraction maxima, in order of rising 2θ, 2θ = 5–70°:
2θ/deg, Rel. int., h k l
9.21, 100, 1 1 0
14.55, 29, 1 1 -1
26.04, 17, 3 3 -1
26.35, 14, 1 7 0
28.51, 57, 0 8 0
28.73, 12, 1 7 -1
29.34, 30, 2 2 -2
34.41, 26, 4 4 -1

# 4
Calculated powder XRD pattern of YAl7Fe5 for Cu Kα, 1.54184 Å, from a cell relaxed with GGA-PBE.
Lines closer than 0.1° are merged.

Structure:
Lattice parameters (Å, degrees): 5.028 8.637 8.640 90.00 90.00 90.00
Space group Imm2 (No. 44)
Asymmetric unit:
Y 0.000 0.000 0.000 x2
Al 0.000 0.000 0.333 x2
Al 0.000 0.000 0.655 x2
Al 0.000 0.288 0.500 x4
Al 0.000 0.343 0.987 x4
Al 0.000 0.500 0.273 x2
Fe 0.000 0.500 0.730 x2
Fe 0.248 0.250 0.244 x8

Largest 8 diffraction maxima, in order of rising 2θ, 2θ = 5–70°:
2θ/deg, Rel. int., h k l
20.56, 21, 0 0 2
29.19, 39, 0 2 2
35.94, 19, 1 0 3
41.57, 64, 2 2 0
41.80, 100, 0 0 4
46.81, 35, 2 2 2
47.04, 18, 0 4 2
60.44, 20, 2 2 4

Repeat the third record exactly.
Calculated powder XRD pattern of AgPO2F2 for Cu Kα, 1.54184 Å, from a cell relaxed with GGA-PBE.
Lines closer than 0.1° are merged.

Structure:
Lattice parameters (Å, degrees): 11.471 25.040 6.341 90.00 115.01 90.00
Space group C2/c (No. 15)
Asymmetric unit:
Ag 0.086 0.062 0.066 x8
Ag 0.164 0.189 0.879 x8
P 0.000 0.189 0.250 x4
P 0.000 0.314 0.750 x4
P 0.238 0.068 0.700 x8
O 0.014 0.159 0.056 x8
O 0.123 0.283 0.872 x8
O 0.130 0.038 0.510 x8
O 0.219 0.093 0.900 x8
F 0.015 0.355 0.576 x8
F 0.114 0.229 0.362 x8
F 0.140 0.469 0.206 x8
F 0.214 0.387 0.417 x8

Largest 8 diffraction maxima, in order of rising 2θ, 2θ = 5–70°:
2θ/deg, Rel. int., h k l
9.21, 100, 1 1 0
14.55, 29, 1 1 -1
26.04, 17, 3 3 -1
26.35, 14, 1 7 0
28.51, 57, 0 8 0
28.73, 12, 1 7 -1
29.34, 30, 2 2 -2
34.41, 26, 4 4 -1